Diffraction record for GaH7N2F4. The PXRD pattern is computed, not measured: it uses DFT lattice parameters and positions (GGA-PBE) and copper Kα.
Lines closer than 0.1° are merged.

Cell and atoms:
Unit cell a=10.7162 b=6.8525 c=7.5767 alpha=90.00 beta=119.18 gamma=90.00
Space group C2/m (No. 12)
Inequivalent atoms, fractional coordinates:
Ga1 0.0000 0.0000 0.0000
Ga2 0.0000 0.0000 0.5000
H1 0.0289 0.5000 0.2335
H2 0.1366 0.5000 0.4887
H3 0.1843 0.3796 0.3365
H4 0.2083 0.0000 0.9266
H5 0.2374 0.3785 0.8565
N1 0.1317 0.5000 0.3508
N2 0.2085 0.0000 0.0619
F1 0.0000 0.2757 0.0000
F2 0.0693 0.0000 0.3025
F3 0.1403 0.1970 0.6498

Most intense lines, 2θ from 10° to 90°, in order of rising 2θ:
2θ/deg  d (Å)  I/Imax
16.0  5.528  1000
19.0  4.678  275
24.2  3.674  214
26.0  3.426  125
27.1  3.286  289
31.5  2.839  113
38.8  2.323  111
48.6  1.872  98